Structure and calculated powder diffractogram of Sr2MgCoO4 (a cell relaxed with GGA+U; a wavelength of 1.5418 Å).
Neutral-atom scattering factors, no anomalous dispersion.

Principal peaks in the range 10° ≤ 2θ ≤ 90°, in order of rising 2θ:
| two_theta | I_rel | hkl |
| --- | --- | --- |
| 22.1 | 32.2 | 1 1 0 |
| 31.5 | 67.2 | 2 0 0 |
| 34.1 | 100.0 | 1 1 -2 |
| 34.3 | 97.3 | 1 1 2 |
| 45.1 | 67.0 | 2 2 0 |
| 57.7 | 41.3 | 3 1 -2 |

Cell and atoms:
Unit cell a=5.673 b=5.688 c=6.918 alpha=90.00 beta=90.42 gamma=90.00
Space group C2 (No. 5)
Asymmetric unit:
1 Sr 0.000 0.000 0.243 (multiplicity 4)
2 Mg 0.000 0.499 0.000 (multiplicity 2)
3 Co 0.000 0.500 0.500 (multiplicity 2)
4 O 0.249 0.251 0.498 (multiplicity 4)
5 O 0.250 0.249 0.995 (multiplicity 4)